Simulated XRD peak list of Mn3ZnI8O24 for Cu Kα X-rays, from a crystal structure in Alexandria, relaxed with GGA+U.

Crystal structure
Unit cell a=5.395 b=11.104 c=11.200 alpha=60.85 beta=89.92 gamma=89.75
Space group P1 (No. 1)
Unique sites:
Mn1 0.000 0.000 0.000
Mn2 0.002 0.499 0.499
Mn3 0.500 0.026 0.483
Zn1 0.489 0.525 0.983
I1 0.396 0.175 0.682
I2 0.401 0.674 0.178
I3 0.422 0.677 0.645
I4 0.423 0.182 0.139
I5 0.893 0.844 0.807
I6 0.896 0.351 0.298
I7 0.917 0.350 0.843
I8 0.925 0.847 0.343
O1 0.208 0.324 0.659
O2 0.215 0.823 0.154
O3 0.217 0.034 0.818
O4 0.220 0.643 0.532
O5 0.221 0.149 0.025
O6 0.224 0.535 0.316
O7 0.268 0.566 0.810
O8 0.270 0.069 0.303
O9 0.278 0.842 0.608
O10 0.280 0.347 0.105
O11 0.288 0.655 0.032
O12 0.289 0.160 0.535
O13 0.704 0.696 0.830
O14 0.711 0.201 0.324
O15 0.713 0.383 0.957
O16 0.715 0.492 0.161
O17 0.719 0.986 0.668
O18 0.722 0.878 0.458
O19 0.766 0.462 0.677
O20 0.773 0.961 0.178
O21 0.777 0.185 0.878
O22 0.783 0.683 0.375
O23 0.784 0.864 0.951
O24 0.788 0.369 0.444

Top 10 peaks for 10 to 90 degrees two-theta, by angle:
2θ/deg, I (rel.), h k l
24.60, 100, 1 2 0
24.75, 70, 1 -2 0
24.85, 32, -1 2 2
29.39, 15, 1 1 3
31.69, 23, 0 2 -2
31.97, 19, 0 2 4
32.25, 22, 0 4 2
33.21, 17, 2 0 0
40.50, 12, 1 0 4
46.77, 18, -2 2 4